For NaIn4, DFT lattice parameters and positions (PBE) gives the calculated X-ray powder pattern in this record (CuKα).
Lines closer than 0.1° are merged.

Largest 10 diffraction maxima, low angle first, 15 to 90 degrees two-theta:
2theta, d/Å, Rel. int., (hkl)
29.83, 2.995, 63, 3 2 0
33.15, 2.703, 100, 3 2 1
36.24, 2.479, 19, 4 0 1
37.21, 2.417, 33, 4 2 0
39.05, 2.307, 21, 3 1 2
41.75, 2.164, 44, 3 2 2
42.69, 2.118, 25, 5 1 0
53.54, 1.712, 20, 3 2 3
62.61, 1.484, 20, 5 5 1
68.35, 1.372, 23, 5 5 2

```
data_NaIn4
_chemical_formula_sum 'Na4 In16'
_cell_length_a 10.7993
_cell_length_b 10.7993
_cell_length_c 6.2572
_cell_angle_alpha 90.00
_cell_angle_beta 90.00
_cell_angle_gamma 90.00
_symmetry_space_group_name_H-M 'P 4/m b m'
_symmetry_Int_Tables_number 127
_symmetry_space_group_name_Hall '-P 4 2ab'
loop_
_atom_site_label
_atom_site_type_symbol
_atom_site_fract_x
_atom_site_fract_y
_atom_site_fract_z
Na1 Na 0.2396 0.2604 0.0000
In1 In 0.0000 0.0000 0.2240
In2 In 0.1013 0.2076 0.5000
In3 In 0.1033 0.6033 0.5000
```

For NaIn3, DFT lattice parameters and positions (PBE) gives the calculated X-ray powder pattern in this record (CuKα).
Lines closer than 0.1° are merged.

Largest 10 diffraction maxima, low angle first, 15 to 90 degrees two-theta:
2theta, d/Å, Rel. int., (hkl)
17.05, 5.202, 25, 0 1 1
30.46, 2.934, 35, 1 0 1
33.50, 2.675, 39, 0 4 0
34.48, 2.601, 61, 0 2 2
34.87, 2.573, 100, 1 2 1
45.91, 1.977, 22, 1 4 1
53.59, 1.710, 19, 1 0 3
60.78, 1.524, 19, 1 6 1
64.69, 1.441, 21, 1 4 3
66.03, 1.415, 17, 2 2 2

```
data_NaIn3
_chemical_formula_sum 'Na2 In6'
_cell_length_a 3.3726
_cell_length_b 10.7000
_cell_length_c 5.9523
_cell_angle_alpha 90.00
_cell_angle_beta 90.00
_cell_angle_gamma 90.00
_symmetry_space_group_name_H-M 'I m m 2'
_symmetry_Int_Tables_number 44
loop_
_symmetry_equiv_pos_as_xyz
'x,y,z'
'-x,-y,z'
'-x,y,z'
'x,-y,z'
'x+1/2,y+1/2,z+1/2'
'-x+1/2,-y+1/2,z+1/2'
'-x+1/2,y+1/2,z+1/2'
'x+1/2,-y+1/2,z+1/2'
loop_
_atom_site_label
_atom_site_type_symbol
_atom_site_fract_x
_atom_site_fract_y
_atom_site_fract_z
Na1 Na 0.0000 0.0000 0.0000
In1 In 0.0000 0.2485 0.6787
In2 In 0.0000 0.5000 0.9919
```

For Na2In17, DFT lattice parameters and positions (PBE) gives the calculated X-ray powder pattern in this record (CuKα).
Lines closer than 0.1° are merged.

Largest 10 diffraction maxima, low angle first, 15 to 90 degrees two-theta:
2theta, d/Å, Rel. int., (hkl)
18.11, 4.898, 25, 1 1 0
27.95, 3.192, 23, 0 2 4
29.34, 3.044, 32, 1 2 2
31.25, 2.862, 100, 2 0 5
33.22, 2.697, 38, 1 1 6
34.62, 2.591, 85, 0 3 3
36.70, 2.449, 22, 2 2 0
39.35, 2.290, 62, 2 2 3
42.48, 2.128, 18, 3 0 6
42.96, 2.105, 23, 2 0 8

```
data_Na2In17
_chemical_formula_sum 'Na6 In51'
_cell_length_a 9.7961
_cell_length_b 9.7961
_cell_length_c 19.3863
_cell_angle_alpha 90.00
_cell_angle_beta 90.00
_cell_angle_gamma 120.00
_symmetry_space_group_name_H-M 'R -3 m'
_symmetry_Int_Tables_number 166
_symmetry_space_group_name_Hall '-R 3 2"'
loop_
_atom_site_label
_atom_site_type_symbol
_atom_site_fract_x
_atom_site_fract_y
_atom_site_fract_z
Na1 Na 0.0000 0.0000 0.2109
In1 In 0.0000 0.0000 0.4004
In2 In 0.0000 0.3031 0.5000
In3 In 0.0000 0.5000 0.0000
In4 In 0.0605 0.5302 0.6175
```

For Na4In3, DFT lattice parameters and positions (PBE) gives the calculated X-ray powder pattern in this record (CuKα).
Lines closer than 0.1° are merged.

Largest 10 diffraction maxima, low angle first, 15 to 90 degrees two-theta:
2theta, d/Å, Rel. int., (hkl)
16.91, 5.243, 24, 2 0 0
18.99, 4.673, 25, 2 0 -1
20.18, 4.400, 23, 1 1 0
32.22, 2.778, 100, 3 1 -1
32.53, 2.753, 100, 1 1 2
37.11, 2.423, 51, 0 2 0
37.33, 2.409, 31, 2 0 -3
38.24, 2.354, 32, 4 0 1
54.33, 1.689, 22, 4 2 1
63.97, 1.455, 23, 1 3 2

```
data_Na4In3
_chemical_formula_sum 'Na8 In6'
_cell_length_a 10.6352
_cell_length_b 4.8476
_cell_length_c 7.5707
_cell_angle_alpha 90.00
_cell_angle_beta 99.60
_cell_angle_gamma 90.00
_symmetry_space_group_name_H-M 'C 1 m 1'
_symmetry_Int_Tables_number 8
loop_
_symmetry_equiv_pos_as_xyz
'x,y,z'
'x,-y,z'
'x+1/2,y+1/2,z'
'x+1/2,-y+1/2,z'
loop_
_atom_site_label
_atom_site_type_symbol
_atom_site_fract_x
_atom_site_fract_y
_atom_site_fract_z
Na1 Na 0.0000 0.0000 0.0000
Na2 Na 0.0663 0.5000 0.7203
Na3 Na 0.2094 0.5000 0.1601
Na4 Na 0.4159 0.0000 0.3052
In1 In 0.1337 0.0000 0.4528
In2 In 0.2881 0.0000 0.8510
In3 In 0.3398 0.5000 0.5883
```